1.
Structure and calculated XRD peak list of La14Zn45Si (the GGA-PBE geometry in the Materials Project; Cu Kα (λ = 1.5418 Å)).

Structure:
Unit cell a=15.5619 b=4.5211 c=17.4201 alpha=90.00 beta=90.18 gamma=90.00
Space group Pm (No. 6)
Unique sites:
La  0.0000  0.0000  0.0000 x1
La  0.0013  0.5000  0.2734 x1
La  0.0814  0.0000  0.5741 x1
La  0.1647  0.0000  0.8277 x1
La  0.2454  0.0000  0.0590 x1
La  0.3301  0.5000  0.3636 x1
La  0.3331  0.0000  0.6372 x1
La  0.4966  0.0000  0.1371 x1
La  0.4985  0.5000  0.8633 x1
La  0.5810  0.0000  0.5636 x1
La  0.6648  0.0000  0.3196 x1
La  0.7497  0.0000  0.0748 x1
La  0.8299  0.5000  0.7755 x1
La  0.8329  0.0000  0.5008 x1
Zn  0.0139  0.5000  0.8717 x1
Zn  0.0158  0.0000  0.4006 x1
Zn  0.0316  0.5000  0.7205 x1
Zn  0.0904  0.5000  0.1022 x1
Zn  0.0911  0.0000  0.1776 x1
Zn  0.1324  0.5000  0.4185 x1
Zn  0.1649  0.0000  0.3191 x1
Zn  0.1866  0.5000  0.6764 x1
Zn  0.1988  0.5000  0.2192 x1
Zn  0.2397  0.0000  0.4597 x1
Zn  0.2402  0.5000  0.5349 x1
Zn  0.2995  0.5000  0.9187 x1
Zn  0.3127  0.0000  0.2364 x1
Zn  0.3166  0.5000  0.7671 x1
Zn  0.3596  0.5000  0.1763 x1
Zn  0.3628  0.0000  0.8243 x1
Zn  0.4066  0.5000  0.0361 x1
Zn  0.4132  0.0000  0.9652 x1
Zn  0.4148  0.0000  0.4652 x1
Zn  0.4227  0.5000  0.5363 x1
Zn  0.4649  0.0000  0.3241 x1
Zn  0.4702  0.5000  0.6768 x1
Zn  0.5123  0.5000  0.2670 x1
Zn  0.5164  0.0000  0.7377 x1
Zn  0.5304  0.5000  0.4181 x1
Zn  0.5899  0.5000  0.0348 x1
Zn  0.5907  0.0000  0.9601 x1
Zn  0.6323  0.5000  0.7204 x1
Zn  0.6431  0.5000  0.1769 x1
Zn  0.6650  0.0000  0.8192 x1
Zn  0.6876  0.5000  0.4623 x1
Zn  0.6974  0.5000  0.9184 x1
Zn  0.7391  0.0000  0.6785 x1
Zn  0.7397  0.5000  0.6042 x1
Zn  0.8009  0.5000  0.2194 x1
Zn  0.8136  0.0000  0.9008 x1
Zn  0.8178  0.5000  0.3707 x1
Zn  0.8598  0.5000  0.9615 x1
Zn  0.8645  0.0000  0.3129 x1
Zn  0.9081  0.5000  0.1014 x1
Zn  0.9150  0.0000  0.1728 x1
Zn  0.9149  0.0000  0.6732 x1
Zn  0.9232  0.5000  0.6024 x1
Zn  0.9648  0.0000  0.8137 x1
Zn  0.9702  0.5000  0.4611 x1
Si  0.1439  0.5000  0.9624 x1

Main lines, in order of rising 2θ (10° ≤ 2θ ≤ 90°):
2theta, I (rel.), h k l
30.7, 61.0, 2 1 4
32.0, 55.7, 4 1 2
33.0, 25.1, 1 1 -5
34.1, 59.9, 4 1 -3
34.5, 100.0, 2 1 -5
35.4, 32.5, 5 0 -4
36.1, 42.0, 6 0 -2
36.5, 46.9, 5 1 -2
36.8, 28.1, 0 1 6
37.3, 27.6, 1 1 6
38.0, 33.3, 2 0 -7
39.9, 97.0, 0 2 0

---

2.
Structure and calculated XRD peak list of La3Sm (the GGA-PBE geometry in the Materials Project; Cu Kα (λ = 1.5418 Å)).

Structure:
Unit cell a=5.2535 b=5.2535 c=10.5689 alpha=90.00 beta=90.00 gamma=90.00
Space group I4/mmm (No. 139)
Unique sites:
La  0.0000  0.0000  0.0000 x2
La  0.0000  0.5000  0.2500 x4
Sm  0.0000  0.0000  0.5000 x2

Main lines, in order of rising 2θ (10° ≤ 2θ ≤ 90°):
2theta, I (rel.), h k l
29.4, 100.0, 1 1 2
33.9, 17.1, 0 0 4
34.1, 33.7, 2 0 0
48.9, 24.4, 2 0 4
49.0, 12.1, 2 2 0
57.9, 14.7, 1 1 6
58.2, 28.9, 3 1 2
61.0, 12.5, 2 2 4
79.3, 11.7, 3 1 6
79.5, 5.8, 3 3 2
81.6, 5.5, 2 0 8
81.9, 5.4, 4 0 4

---

3.
Structure and calculated XRD peak list of LaSmZn2 (the GGA-PBE geometry in the Materials Project; Cu Kα (λ = 1.5418 Å)).

Structure:
Unit cell a=7.4108 b=7.4108 c=7.4108 alpha=90.00 beta=90.00 gamma=90.00
Space group Fm-3m (No. 225)
Unique sites:
La  0.0000  0.0000  0.0000 x4
Sm  0.0000  0.0000  0.5000 x4
Zn  0.2500  0.2500  0.2500 x8

Main lines, in order of rising 2θ (10° ≤ 2θ ≤ 90°):
2theta, I (rel.), h k l
24.0, 13.7, 2 0 0
34.2, 100.0, 2 2 0
42.2, 4.2, 2 2 2
49.2, 17.8, 4 0 0
55.4, 5.8, 4 2 0
61.3, 36.2, 4 2 2
72.1, 11.0, 4 4 0
77.2, 2.9, 6 0 0
82.3, 15.4, 6 2 0
87.3, 1.8, 6 2 2

---

4.
Structure and calculated XRD peak list of La5Sn4 (the GGA-PBE geometry in the Materials Project; Cu Kα (λ = 1.5418 Å)).

Structure:
Unit cell a=8.5541 b=16.3454 c=8.6416 alpha=90.00 beta=90.00 gamma=90.00
Space group Pnma (No. 62)
Unique sites:
La  0.0262  0.1011  0.1804 x8
La  0.1193  0.6170  0.3385 x8
La  0.2105  0.2500  0.5033 x4
Sn  0.0816  0.2500  0.8859 x4
Sn  0.1716  0.7500  0.6382 x4
Sn  0.2196  0.0439  0.5312 x8

Main lines, in order of rising 2θ (10° ≤ 2θ ≤ 90°):
2theta, I (rel.), h k l
28.4, 100.0, 1 3 2
28.5, 41.0, 2 3 1
29.4, 40.4, 2 0 2
30.1, 40.3, 0 4 2
30.2, 33.8, 2 4 0
31.1, 26.8, 1 5 1
32.0, 55.5, 2 4 1
32.9, 33.9, 0 6 0
33.1, 31.2, 3 0 1
33.3, 53.2, 1 1 3
33.5, 29.5, 3 1 1
59.6, 22.1, 5 4 1

---

5.
Structure and calculated XRD peak list of LaSn3 (the GGA-PBE geometry in the Materials Project; Cu Kα (λ = 1.5418 Å)).

Structure:
Unit cell a=4.8201 b=4.8201 c=4.8201 alpha=90.00 beta=90.00 gamma=90.00
Space group Pm-3m (No. 221)
Unique sites:
La  0.0000  0.0000  0.0000 x1
Sn  0.0000  0.5000  0.5000 x3

Main lines, in order of rising 2θ (10° ≤ 2θ ≤ 90°):
2theta, I (rel.), h k l
32.2, 100.0, 1 1 1
37.3, 50.6, 2 0 0
53.8, 35.8, 2 2 0
64.1, 42.9, 3 1 1
67.3, 12.4, 2 2 2
79.5, 6.0, 4 0 0
88.4, 19.3, 3 3 1

---

6.
Structure and calculated XRD peak list of La3Sn4 (the GGA-PBE geometry in the Materials Project; Cu Kα (λ = 1.5418 Å)).

Structure:
Unit cell a=4.5688 b=12.0143 c=16.0303 alpha=90.00 beta=90.00 gamma=90.00
Space group Cmcm (No. 63)
Unique sites:
La  0.0000  0.0427  0.2500 x4
La  0.0000  0.3282  0.0976 x8
Sn  0.0000  0.0000  0.0000 x4
Sn  0.0000  0.2272  0.7500 x4
Sn  0.0000  0.3837  0.6070 x8

Main lines, in order of rising 2θ (10° ≤ 2θ ≤ 90°):
2theta, I (rel.), h k l
26.7, 26.1, 0 2 4
29.7, 64.3, 1 3 0
30.3, 25.8, 0 4 1
30.6, 100.0, 1 1 4
31.8, 15.8, 1 3 2
33.5, 19.0, 0 0 6
34.2, 46.3, 1 3 3
37.4, 41.3, 0 4 4
39.4, 35.8, 2 0 0
55.5, 22.9, 2 4 4
65.6, 15.6, 3 3 0
66.1, 23.1, 3 1 4

---

7.
Structure and calculated XRD peak list of La3Sn (the GGA-PBE geometry in the Materials Project; Cu Kα (λ = 1.5418 Å)).

Structure:
Unit cell a=5.0432 b=5.0432 c=5.0432 alpha=90.00 beta=90.00 gamma=90.00
Space group Pm-3m (No. 221)
Unique sites:
La  0.0000  0.0000  0.5000 x3
Sn  0.5000  0.5000  0.5000 x1

Main lines, in order of rising 2θ (10° ≤ 2θ ≤ 90°):
2theta, I (rel.), h k l
30.7, 100.0, 1 1 1
35.6, 50.6, 2 0 0
51.2, 36.0, 2 2 0
60.9, 42.7, 3 1 1
63.9, 12.3, 2 2 2
75.4, 5.8, 4 0 0
83.6, 17.9, 3 3 1
86.3, 16.7, 4 2 0

---

8.
Structure and calculated XRD peak list of La5Sn3 (the GGA-PBE geometry in the Materials Project; Cu Kα (λ = 1.5418 Å)).

Structure:
Unit cell a=12.8401 b=12.8401 c=6.3638 alpha=90.00 beta=90.00 gamma=90.00
Space group I4/mcm (No. 140)
Unique sites:
La  0.0000  0.5000  0.2500 x4
La  0.0856  0.2170  0.0000 x16
Sn  0.0000  0.0000  0.2500 x4
Sn  0.1601  0.3399  0.5000 x8

Main lines, in order of rising 2θ (10° ≤ 2θ ≤ 90°):
2theta, I (rel.), h k l
28.0, 21.1, 0 0 2
28.7, 62.1, 3 2 1
31.2, 68.5, 4 2 0
31.4, 51.9, 2 0 2
32.0, 100.0, 4 1 1
34.4, 35.6, 2 2 2
39.9, 16.7, 4 0 2
40.4, 18.1, 5 2 1
50.2, 15.3, 5 5 0
52.2, 25.4, 4 1 3
58.5, 17.0, 5 5 2
59.5, 21.7, 6 4 2